Entry 1:
Starting from a crystal structure in Alexandria, relaxed with PBE, the XRD peak list of Hf6OsN2 was computed for copper Kα.
Lines closer than 0.1° are merged.

```
data_Hf6OsN2
_chemical_formula_sum 'Hf12 Os2 N4'
_symmetry_space_group_name_H-M 'C 1 2/m 1'
_symmetry_Int_Tables_number 12
_symmetry_space_group_name_Hall '-C 2y'
_cell_length_a 10.7870
_cell_length_b 4.3837
_cell_length_c 7.7290
_cell_angle_alpha 90.00
_cell_angle_beta 118.06
_cell_angle_gamma 90.00
loop_
_atom_site_label
_atom_site_fract_x
_atom_site_fract_y
_atom_site_fract_z
Hf1 0.0225 0.0000 0.1939
Hf2 0.1635 0.5000 0.5636
Hf3 0.1989 0.5000 0.0938
Os1 0.0000 0.0000 0.5000
N1 0.1864 0.0000 0.0871
```

Largest 10 diffraction maxima, in order of rising 2θ, 2θ = 15–90°:
| d [Å] | two_theta | Rel. int. | h k l |
| --- | --- | --- | --- |
| 3.982 | 22.3 | 15.8 | 1 1 0 |
| 2.886 | 31.0 | 55.1 | 1 1 -2 |
| 2.578 | 34.8 | 32.6 | 3 1 -2 |
| 2.570 | 34.9 | 100.0 | 3 1 0 |
| 2.306 | 39.1 | 18.7 | 2 0 2 |
| 2.273 | 39.6 | 13.4 | 0 0 3 |
| 2.192 | 41.2 | 40.6 | 0 2 0 |
| 1.814 | 50.3 | 14.3 | 5 1 -3 |
| 1.588 | 58.1 | 19.4 | 6 0 0 |
| 1.327 | 71.0 | 16.2 | 3 3 0 |

=====

Entry 2:
Starting from a crystal structure in Alexandria, relaxed with PBE, the XRD peak list of TmHg2Pd3 was computed for copper Kα.
Lines closer than 0.1° are merged.

```
data_TmHg2Pd3
_chemical_formula_sum 'Tm2 Hg4 Pd6'
_symmetry_space_group_name_H-M 'P m c 21'
_symmetry_Int_Tables_number 26
_symmetry_space_group_name_Hall 'P 2c -2'
_cell_length_a 4.4472
_cell_length_b 8.6091
_cell_length_c 6.0948
_cell_angle_alpha 90.00
_cell_angle_beta 90.00
_cell_angle_gamma 90.00
loop_
_atom_site_label
_atom_site_fract_x
_atom_site_fract_y
_atom_site_fract_z
Tm1 0.0000 0.1262 0.0000
Hg1 0.0000 0.2425 0.5145
Hg2 0.5000 0.4146 0.8383
Pd1 0.0000 0.4420 0.1268
Pd2 0.5000 0.0702 0.6772
Pd3 0.5000 0.2483 0.2435
```

Largest 10 diffraction maxima, in order of rising 2θ, 2θ = 15–90°:
| d [Å] | two_theta | Rel. int. | h k l |
| --- | --- | --- | --- |
| 2.758 | 32.5 | 38.8 | 1 2 1 |
| 2.596 | 34.5 | 64.9 | 0 3 1 |
| 2.514 | 35.7 | 97.2 | 1 0 2 |
| 2.413 | 37.3 | 58.1 | 1 1 2 |
| 2.242 | 40.2 | 100.0 | 1 3 1 |
| 2.224 | 40.6 | 61.5 | 2 0 0 |
| 1.837 | 49.6 | 18.3 | 0 2 3 |
| 1.689 | 54.3 | 36.1 | 2 3 1 |
| 1.553 | 59.5 | 18.7 | 1 3 3 |
| 1.333 | 70.7 | 17.9 | 3 0 2 |

=====

Entry 3:
Starting from a crystal structure in Alexandria, relaxed with PBE, the XRD peak list of Cs2KRb7 was computed for copper Kα.
Lines closer than 0.1° are merged.

```
data_Cs2KRb7
_chemical_formula_sum 'Cs8 K4 Rb28'
_symmetry_space_group_name_H-M 'F m -3 m'
_symmetry_Int_Tables_number 225
_symmetry_space_group_name_Hall '-F 4 2 3'
_cell_length_a 16.4700
_cell_length_b 16.4700
_cell_length_c 16.4700
_cell_angle_alpha 90.00
_cell_angle_beta 90.00
_cell_angle_gamma 90.00
loop_
_atom_site_label
_atom_site_fract_x
_atom_site_fract_y
_atom_site_fract_z
Cs1 0.2500 0.2500 0.2500
K1 0.0000 0.0000 0.0000
Rb1 0.0000 0.0000 0.2461
Rb2 0.0000 0.0000 0.5000
```

Largest 10 diffraction maxima, in order of rising 2θ, 2θ = 15–90°:
| d [Å] | two_theta | Rel. int. | h k l |
| --- | --- | --- | --- |
| 5.823 | 15.2 | 25.3 | 2 2 0 |
| 4.754 | 18.7 | 96.1 | 2 2 2 |
| 4.117 | 21.6 | 100.0 | 4 0 0 |
| 2.912 | 30.7 | 81.7 | 4 4 0 |
| 2.483 | 36.2 | 53.7 | 6 2 2 |
| 2.377 | 37.8 | 30.4 | 4 4 4 |
| 1.889 | 48.2 | 23.3 | 6 6 2 |
| 1.841 | 49.5 | 41.2 | 8 4 0 |
| 1.681 | 54.6 | 30.6 | 8 4 4 |
| 1.372 | 68.3 | 19.4 | 12 0 0 |

=====

Entry 4:
Starting from a crystal structure in Alexandria, relaxed with PBE, the XRD peak list of DyU2S3O2 was computed for copper Kα.
Lines closer than 0.1° are merged.

```
data_DyU2S3O2
_chemical_formula_sum 'Dy2 U4 S6 O4'
_symmetry_space_group_name_H-M 'I 4/m m m'
_symmetry_Int_Tables_number 139
_symmetry_space_group_name_Hall '-I 4 2'
_cell_length_a 3.8110
_cell_length_b 3.8110
_cell_length_c 21.1907
_cell_angle_alpha 90.00
_cell_angle_beta 90.00
_cell_angle_gamma 90.00
loop_
_atom_site_label
_atom_site_fract_x
_atom_site_fract_y
_atom_site_fract_z
Dy1 0.0000 0.0000 0.0000
U1 0.0000 0.0000 0.3132
S1 0.0000 0.0000 0.1290
S2 0.0000 0.0000 0.5000
O1 0.0000 0.5000 0.2500
```

Largest 10 diffraction maxima, in order of rising 2θ, 2θ = 15–90°:
| d [Å] | two_theta | Rel. int. | h k l |
| --- | --- | --- | --- |
| 3.532 | 25.2 | 29.1 | 0 0 6 |
| 3.354 | 26.6 | 100.0 | 1 0 3 |
| 2.834 | 31.6 | 29.0 | 1 0 5 |
| 2.695 | 33.2 | 53.8 | 1 1 0 |
| 2.370 | 38.0 | 19.1 | 1 0 7 |
| 2.142 | 42.2 | 38.6 | 1 1 6 |
| 1.905 | 47.7 | 23.4 | 2 0 0 |
| 1.677 | 54.7 | 14.5 | 2 0 6 |
| 1.666 | 55.1 | 14.7 | 1 1 10 |
| 1.657 | 55.5 | 28.6 | 2 1 3 |

=====

Entry 5:
Starting from a crystal structure in Alexandria, relaxed with PBE, the XRD peak list of La2ZrHg2 was computed for copper Kα.
Lines closer than 0.1° are merged.

```
data_La2ZrHg2
_chemical_formula_sum 'La4 Zr2 Hg4'
_symmetry_space_group_name_H-M 'P 4/m b m'
_symmetry_Int_Tables_number 127
_symmetry_space_group_name_Hall '-P 4 2ab'
_cell_length_a 8.7410
_cell_length_b 8.7410
_cell_length_c 3.8310
_cell_angle_alpha 90.00
_cell_angle_beta 90.00
_cell_angle_gamma 90.00
loop_
_atom_site_label
_atom_site_fract_x
_atom_site_fract_y
_atom_site_fract_z
La1 0.1725 0.3275 0.0000
Zr1 0.0000 0.0000 0.5000
Hg1 0.1280 0.6280 0.5000
```

Largest 10 diffraction maxima, in order of rising 2θ, 2θ = 15–90°:
| d [Å] | two_theta | Rel. int. | h k l |
| --- | --- | --- | --- |
| 2.881 | 31.0 | 13.0 | 2 0 1 |
| 2.764 | 32.4 | 39.5 | 3 1 0 |
| 2.736 | 32.7 | 100.0 | 2 1 1 |
| 2.424 | 37.1 | 12.8 | 3 2 0 |
| 2.185 | 41.3 | 9.3 | 4 0 0 |
| 2.049 | 44.2 | 10.9 | 3 2 1 |
| 1.916 | 47.5 | 11.0 | 0 0 2 |
| 1.574 | 58.6 | 14.5 | 3 1 2 |
| 1.565 | 59.0 | 9.7 | 5 1 1 |
| 1.495 | 62.1 | 15.6 | 5 2 1 |

=====

Entry 6:
Starting from a crystal structure in Alexandria, relaxed with PBE, the XRD peak list of SrPaAuO5 was computed for copper Kα.
Lines closer than 0.1° are merged.

```
data_SrPaAuO5
_chemical_formula_sum 'Sr4 Pa4 Au4 O20'
_symmetry_space_group_name_H-M 'C 1 2/c 1'
_symmetry_Int_Tables_number 15
_symmetry_space_group_name_Hall '-C 2yc'
_cell_length_a 6.4789
_cell_length_b 10.2951
_cell_length_c 8.1900
_cell_angle_alpha 90.00
_cell_angle_beta 106.90
_cell_angle_gamma 90.00
loop_
_atom_site_label
_atom_site_fract_x
_atom_site_fract_y
_atom_site_fract_z
Sr1 0.0000 0.1860 0.2500
Pa1 0.0000 0.5000 0.0000
Au1 0.0000 0.1565 0.7500
O1 0.0000 0.4263 0.2500
O2 0.0095 0.2962 0.5704
O3 0.1501 0.0116 0.9153
```

Largest 10 diffraction maxima, in order of rising 2θ, 2θ = 15–90°:
| d [Å] | two_theta | Rel. int. | h k l |
| --- | --- | --- | --- |
| 3.612 | 24.6 | 100.0 | 1 1 -2 |
| 3.118 | 28.6 | 60.2 | 0 2 2 |
| 3.100 | 28.8 | 74.0 | 2 0 0 |
| 3.002 | 29.8 | 93.6 | 1 3 0 |
| 2.834 | 31.6 | 40.6 | 1 1 2 |
| 2.507 | 35.8 | 24.8 | 2 2 -2 |
| 2.151 | 42.0 | 31.7 | 0 4 2 |
| 2.054 | 44.1 | 23.0 | 3 1 -2 |
| 1.770 | 51.6 | 25.5 | 3 3 0 |
| 1.758 | 52.0 | 27.5 | 1 3 -4 |

=====

Entry 7:
Starting from a crystal structure in Alexandria, relaxed with PBE, the XRD peak list of CePr3Ge4 was computed for copper Kα.
Lines closer than 0.1° are merged.

```
data_CePr3Ge4
_chemical_formula_sum 'Ce2 Pr6 Ge8'
_symmetry_space_group_name_H-M 'I m m m'
_symmetry_Int_Tables_number 71
_symmetry_space_group_name_Hall '-I 2 2'
_cell_length_a 4.2788
_cell_length_b 6.5637
_cell_length_c 16.1084
_cell_angle_alpha 90.00
_cell_angle_beta 90.00
_cell_angle_gamma 90.00
loop_
_atom_site_label
_atom_site_fract_x
_atom_site_fract_y
_atom_site_fract_z
Ce1 0.0000 0.0000 0.0000
Pr1 0.0000 0.0000 0.5000
Pr2 0.0000 0.5000 0.3069
Ge1 0.0000 0.3094 0.1296
```

Largest 10 diffraction maxima, in order of rising 2θ, 2θ = 15–90°:
| d [Å] | two_theta | Rel. int. | h k l |
| --- | --- | --- | --- |
| 3.276 | 27.2 | 100.0 | 1 1 2 |
| 2.892 | 30.9 | 14.8 | 0 1 5 |
| 2.680 | 33.4 | 37.9 | 0 0 6 |
| 2.573 | 34.9 | 31.7 | 1 0 5 |
| 2.544 | 35.3 | 26.4 | 0 2 4 |
| 2.343 | 38.4 | 24.7 | 1 2 3 |
| 2.139 | 42.2 | 20.4 | 2 0 0 |
| 2.026 | 44.7 | 19.9 | 0 3 3 |
| 1.893 | 48.1 | 17.3 | 1 3 2 |
| 1.400 | 66.8 | 21.1 | 1 3 8 |

=====

Entry 8:
Starting from a crystal structure in Alexandria, relaxed with PBE, the XRD peak list of TbGa12Co4 was computed for copper Kα.
Lines closer than 0.1° are merged.

```
data_TbGa12Co4
_chemical_formula_sum 'Tb2 Ga24 Co8'
_symmetry_space_group_name_H-M 'I m -3'
_symmetry_Int_Tables_number 204
_symmetry_space_group_name_Hall '-I 2 2 3'
_cell_length_a 9.0449
_cell_length_b 9.0449
_cell_length_c 9.0449
_cell_angle_alpha 90.00
_cell_angle_beta 90.00
_cell_angle_gamma 90.00
loop_
_atom_site_label
_atom_site_fract_x
_atom_site_fract_y
_atom_site_fract_z
Tb1 0.0000 0.0000 0.0000
Ga1 0.0000 0.2582 0.2573
Co1 0.2500 0.2500 0.2500
```

Largest 10 diffraction maxima, in order of rising 2θ, 2θ = 15–90°:
| d [Å] | two_theta | Rel. int. | h k l |
| --- | --- | --- | --- |
| 4.522 | 19.6 | 57.4 | 2 0 0 |
| 3.693 | 24.1 | 32.0 | 2 1 1 |
| 2.860 | 31.3 | 16.1 | 3 0 1 |
| 2.611 | 34.3 | 75.8 | 2 2 2 |
| 2.261 | 39.9 | 100.0 | 4 0 0 |
| 2.022 | 44.8 | 25.1 | 4 0 2 |
| 1.651 | 55.7 | 11.1 | 5 2 1 |
| 1.599 | 57.7 | 64.2 | 4 4 0 |
| 1.364 | 68.9 | 27.9 | 6 2 2 |
| 1.306 | 72.4 | 20.7 | 4 4 4 |